This entry pairs a crystal structure of CaSmIn2 with its calculated powder diffraction line list. Radiation: Cu Kα (weighted mean of Kα1 and Kα2). Structure: a PBE-relaxed structure.
No peak broadening, texture or thermal motion is included.

Crystal structure
Unit cell a=5.592 b=5.592 c=5.592 alpha=60.00 beta=60.00 gamma=60.00
Atoms (fractional coordinates):
1 Ca 0.000 0.000 0.000
2 Sm 0.500 0.500 0.500
3 In 0.250 0.250 0.250
4 In 0.750 0.750 0.750

Largest 6 diffraction maxima, low angle first, 10 to 80 degrees two-theta:
| d_spacing | intensity |
| --- | --- |
| 4.566 | 14 |
| 2.796 | 100 |
| 1.977 | 18 |
| 1.614 | 37 |
| 1.398 | 11 |
| 1.250 | 16 |

This entry pairs a crystal structure of MgCu2Sb4O12 with its calculated powder diffraction line list. Radiation: Cu Kα (weighted mean of Kα1 and Kα2). Structure: a PBE-relaxed structure.
No peak broadening, texture or thermal motion is included.

Crystal structure
Unit cell a=5.002 b=9.462 c=5.019 alpha=90.00 beta=90.27 gamma=90.00
Atoms (fractional coordinates):
1 Mg 0.000 0.000 0.000
2 Cu 0.000 0.745 0.500
3 Cu 0.500 0.247 0.000
4 Sb 0.000 0.098 0.500
5 Sb 0.000 0.427 0.500
6 Sb 0.500 0.566 0.000
7 Sb 0.500 0.894 0.000
8 O 0.181 0.255 0.307
9 O 0.200 0.922 0.293
10 O 0.204 0.575 0.298
11 O 0.295 0.071 0.799
12 O 0.298 0.418 0.796
13 O 0.306 0.737 0.817
14 O 0.694 0.737 0.183
15 O 0.702 0.418 0.204
16 O 0.705 0.071 0.201
17 O 0.796 0.575 0.702
18 O 0.800 0.922 0.707
19 O 0.819 0.255 0.693

Largest 6 diffraction maxima, low angle first, 10 to 80 degrees two-theta:
| d_spacing | intensity |
| --- | --- |
| 4.428 | 18 |
| 3.551 | 71 |
| 3.535 | 70 |
| 2.669 | 100 |
| 1.829 | 46 |
| 1.824 | 46 |

This entry pairs a crystal structure of Rb2Na2Sb2O3F10 with its calculated powder diffraction line list. Radiation: Cu Kα (weighted mean of Kα1 and Kα2). Structure: a PBE-relaxed structure.
No peak broadening, texture or thermal motion is included.

Crystal structure
Unit cell a=6.098 b=18.972 c=6.110 alpha=90.00 beta=90.28 gamma=90.00
Atoms (fractional coordinates):
1 Rb 0.246 0.000 0.253
2 Rb 0.246 0.500 0.253
3 Rb 0.754 0.000 0.747
4 Rb 0.754 0.500 0.747
5 Na 0.246 0.121 0.746
6 Na 0.246 0.379 0.746
7 Na 0.754 0.621 0.254
8 Na 0.754 0.879 0.254
9 Sb 0.259 0.631 0.757
10 Sb 0.259 0.869 0.757
11 Sb 0.741 0.131 0.243
12 Sb 0.741 0.369 0.243
13 O 0.373 0.250 0.124
14 O 0.397 0.750 0.157
15 O 0.401 0.250 0.912
16 O 0.599 0.750 0.088
17 O 0.603 0.250 0.843
18 O 0.627 0.750 0.876
19 F 0.014 0.611 0.990
20 F 0.014 0.889 0.990
21 F 0.017 0.618 0.515
22 F 0.017 0.882 0.515
23 F 0.238 0.524 0.741
24 F 0.238 0.976 0.741
25 F 0.492 0.600 0.993
26 F 0.492 0.609 0.516
27 F 0.492 0.891 0.516
28 F 0.492 0.900 0.993
29 F 0.508 0.100 0.007
30 F 0.508 0.109 0.484
31 F 0.508 0.391 0.484
32 F 0.508 0.400 0.007
33 F 0.762 0.024 0.259
34 F 0.762 0.476 0.259
35 F 0.983 0.118 0.485
36 F 0.983 0.382 0.485
37 F 0.986 0.111 0.010
38 F 0.986 0.389 0.010

Largest 6 diffraction maxima, low angle first, 10 to 80 degrees two-theta:
| d_spacing | intensity |
| --- | --- |
| 5.811 | 46 |
| 4.392 | 27 |
| 3.192 | 100 |
| 3.052 | 26 |
| 2.372 | 22 |
| 2.196 | 19 |

This entry pairs a crystal structure of Ca2LaF7 with its calculated powder diffraction line list. Radiation: Cu Kα (weighted mean of Kα1 and Kα2). Structure: a PBE-relaxed structure.
No peak broadening, texture or thermal motion is included.

Crystal structure
Unit cell a=4.001 b=4.001 c=9.888 alpha=90.85 beta=90.85 gamma=61.42
Atoms (fractional coordinates):
1 Ca 0.000 0.000 0.000
2 Ca 0.688 0.688 0.314
3 La 0.379 0.379 0.665
4 F 0.020 0.020 0.237
5 F 0.044 0.044 0.679
6 F 0.357 0.357 0.924
7 F 0.360 0.360 0.401
8 F 0.681 0.681 0.083
9 F 0.704 0.704 0.542
10 F 0.714 0.714 0.793

Largest 6 diffraction maxima, low angle first, 10 to 80 degrees two-theta:
| d_spacing | intensity |
| --- | --- |
| 4.943 | 24 |
| 3.299 | 100 |
| 3.266 | 29 |
| 2.043 | 26 |
| 2.013 | 40 |
| 2.000 | 48 |

This entry pairs a crystal structure of NdF3 with its calculated powder diffraction line list. Radiation: Cu Kα (weighted mean of Kα1 and Kα2). Structure: a PBE-relaxed structure.
No peak broadening, texture or thermal motion is included.

Crystal structure
Unit cell a=7.085 b=7.085 c=7.277 alpha=90.00 beta=90.00 gamma=120.00
Atoms (fractional coordinates):
1 Nd 0.000 0.325 0.000
2 Nd 0.000 0.675 0.500
3 Nd 0.325 0.000 0.000
4 Nd 0.325 0.325 0.500
5 Nd 0.675 0.000 0.500
6 Nd 0.675 0.675 0.000
7 F 0.000 0.000 0.072
8 F 0.000 0.000 0.572
9 F 0.000 0.275 0.332
10 F 0.000 0.382 0.671
11 F 0.000 0.618 0.171
12 F 0.000 0.725 0.832
13 F 0.275 0.000 0.332
14 F 0.275 0.275 0.832
15 F 0.333 0.667 0.457
16 F 0.333 0.667 0.957
17 F 0.382 0.000 0.671
18 F 0.382 0.382 0.171
19 F 0.618 0.000 0.171
20 F 0.618 0.618 0.671
21 F 0.667 0.333 0.457
22 F 0.667 0.333 0.957
23 F 0.725 0.000 0.832
24 F 0.725 0.725 0.332

Largest 6 diffraction maxima, low angle first, 10 to 80 degrees two-theta:
| d_spacing | intensity |
| --- | --- |
| 3.639 | 37 |
| 3.543 | 27 |
| 3.185 | 100 |
| 2.045 | 42 |
| 2.001 | 53 |
| 1.783 | 33 |